1.
Calculated powder X-ray diffraction pattern
Compound: ZnCd2Ga6
Radiation: λ = 1.5418 Å (Cu Kα)
Structure: DFT lattice parameters and positions (PBE)
Neutral-atom scattering factors, no anomalous dispersion.

Atomic structure:
Cell: 13.2398 9.1842 2.9525 Å, 90.00 101.06 90.00°
Space group C2/m (No. 12)
Symmetry-distinct sites (fractional):
Zn (0.0000, 0.0000, 0.0000) x2
Cd (0.1312, 0.5000, 0.1371) x4
Ga (0.0000, 0.2678, 0.5000) x4
Ga (0.1843, 0.1547, 0.1886) x8

Peak list (8 most intense, 2θ = 10–90°, in order of falling intensity)
2θ (°), I/Imax
35.92, 100
41.71, 36
42.55, 34
36.29, 32
37.42, 29
37.05, 23
33.80, 23
36.67, 23


2.
Calculated powder X-ray diffraction pattern
Compound: PmSm12In6
Radiation: λ = 1.5418 Å (Cu Kα)
Structure: DFT lattice parameters and positions (PBE)
Neutral-atom scattering factors, no anomalous dispersion.

Atomic structure:
Cell: 11.6673 11.6673 14.6505 Å, 90.00 90.00 120.00°
Space group R-3 (No. 148, hexagonal axes)
Symmetry-distinct sites (fractional):
Pm (0.0000, 0.0000, 0.0000) x3
Sm (0.0615, 0.2177, 0.4102) x18
Sm (0.0710, 0.8810, 0.8052) x18
In (0.0276, 0.5910, 0.7138) x18

Peak list (8 most intense, 2θ = 10–90°, in order of falling intensity)
2θ (°), I/Imax
34.26, 100
32.29, 91
32.53, 85
31.80, 69
33.91, 51
24.08, 22
60.26, 19
35.86, 19